Diffraction record for RbSn6Pb12. The powder diffractogram is simulated, not measured: it uses a structure optimized by DFT (PBE) and Cu Ka.
Peak positions follow from Bragg's law for the DFT cell and can differ from measured ones.

Top 10 peaks for 2θ = 5–70°, low angle first:
- 2θ = 27.01°, rel. 100.0
- 2θ = 27.53°, rel. 65.7
- 2θ = 32.30°, rel. 62.4
- 2θ = 32.75°, rel. 56.5
- 2θ = 32.86°, rel. 21.6
- 2θ = 35.40°, rel. 29.0
- 2θ = 36.02°, rel. 33.5
- 2θ = 39.70°, rel. 62.8
- 2θ = 49.50°, rel. 36.5
- 2θ = 64.59°, rel. 22.7

Crystal structure
Unit cell a=14.4238 b=14.4238 c=10.8792 alpha=90.00 beta=90.00 gamma=120.00
Space group R-3m (No. 166, hexagonal axes)
Symmetry-distinct sites (fractional):
Rb  0.0000  0.0000  0.0000 (multiplicity 3)
Sn  0.0514  0.5257  0.2376 (multiplicity 18)
Pb  0.0000  0.3860  0.5000 (multiplicity 18)
Pb  0.0814  0.1628  0.3132 (multiplicity 18)

***

Diffraction record for Rb2Sn3Pb5. The powder diffractogram is simulated, not measured: it uses a structure optimized by DFT (PBE) and Cu Ka.
Peak positions follow from Bragg's law for the DFT cell and can differ from measured ones.

Top 10 peaks for 2θ = 5–70°, low angle first:
- 2θ = 12.92°, rel. 32.8
- 2θ = 18.17°, rel. 27.8
- 2θ = 25.90°, rel. 35.6
- 2θ = 27.42°, rel. 100.0
- 2θ = 34.31°, rel. 70.6
- 2θ = 35.73°, rel. 73.4
- 2θ = 37.03°, rel. 25.5
- 2θ = 49.31°, rel. 25.8
- 2θ = 57.35°, rel. 26.3
- 2θ = 62.38°, rel. 30.6

Crystal structure
Unit cell a=5.2266 b=5.2266 c=13.7072 alpha=90.00 beta=90.00 gamma=90.00
Space group P-4m2 (No. 115)
Symmetry-distinct sites (fractional):
Rb  0.0000  0.5000  0.2440 (multiplicity 2)
Sn  0.0000  0.0000  0.0000 (multiplicity 1)
Sn  0.0000  0.5000  0.8755 (multiplicity 2)
Pb  0.0000  0.0000  0.5000 (multiplicity 1)
Pb  0.0000  0.5000  0.6405 (multiplicity 2)
Pb  0.5000  0.5000  0.0000 (multiplicity 1)
Pb  0.5000  0.5000  0.5000 (multiplicity 1)

***

Diffraction record for RbSn2Pb5. The powder diffractogram is simulated, not measured: it uses a structure optimized by DFT (PBE) and Cu Ka.
Peak positions follow from Bragg's law for the DFT cell and can differ from measured ones.

Top 10 peaks for 2θ = 5–70°, low angle first:
- 2θ = 11.37°, rel. 56.8
- 2θ = 27.66°, rel. 68.6
- 2θ = 28.75°, rel. 100.0
- 2θ = 33.48°, rel. 56.1
- 2θ = 33.76°, rel. 69.1
- 2θ = 34.56°, rel. 39.8
- 2θ = 35.57°, rel. 36.9
- 2θ = 39.72°, rel. 32.3
- 2θ = 52.90°, rel. 31.4
- 2θ = 53.65°, rel. 23.5

Crystal structure
Unit cell a=4.5384 b=9.8223 c=12.7706 alpha=90.00 beta=90.00 gamma=90.00
Space group Immm (No. 71)
Symmetry-distinct sites (fractional):
Rb  0.0000  0.0000  0.0000 (multiplicity 2)
Sn  0.0000  0.5000  0.2601 (multiplicity 4)
Pb  0.0000  0.1859  0.3523 (multiplicity 8)
Pb  0.0000  0.5000  0.0000 (multiplicity 2)

***

Diffraction record for RbSn2Pb9. The powder diffractogram is simulated, not measured: it uses a structure optimized by DFT (PBE) and Cu Ka.
Peak positions follow from Bragg's law for the DFT cell and can differ from measured ones.

Top 10 peaks for 2θ = 5–70°, low angle first:
- 2θ = 30.28°, rel. 13.3
- 2θ = 31.47°, rel. 100.0
- 2θ = 31.64°, rel. 65.9
- 2θ = 35.46°, rel. 36.1
- 2θ = 45.23°, rel. 21.1
- 2θ = 53.57°, rel. 14.6
- 2θ = 56.03°, rel. 15.2
- 2θ = 56.14°, rel. 21.8
- 2θ = 62.98°, rel. 28.7
- 2θ = 63.46°, rel. 14.0

Crystal structure
Unit cell a=11.3706 b=11.3706 c=3.4538 alpha=90.00 beta=90.00 gamma=120.00
Space group P6/mmm (No. 191)
Symmetry-distinct sites (fractional):
Rb  0.0000  0.0000  0.0000 (multiplicity 1)
Sn  0.3333  0.6667  0.0000 (multiplicity 2)
Pb  0.0000  0.5000  0.0000 (multiplicity 3)
Pb  0.1828  0.3656  0.5000 (multiplicity 6)

***

Diffraction record for Rb2SnPb5. The powder diffractogram is simulated, not measured: it uses a structure optimized by DFT (PBE) and Cu Ka.
Peak positions follow from Bragg's law for the DFT cell and can differ from measured ones.

Top 10 peaks for 2θ = 5–70°, low angle first:
- 2θ = 14.53°, rel. 36.9
- 2θ = 18.78°, rel. 21.7
- 2θ = 26.66°, rel. 30.0
- 2θ = 28.00°, rel. 100.0
- 2θ = 29.29°, rel. 40.8
- 2θ = 33.91°, rel. 43.8
- 2θ = 36.04°, rel. 21.4
- 2θ = 40.02°, rel. 21.0
- 2θ = 45.41°, rel. 37.0
- 2θ = 47.10°, rel. 20.5

Crystal structure
Unit cell a=7.4769 b=7.4769 c=6.0980 alpha=90.00 beta=90.00 gamma=90.00
Space group P4/mmm (No. 123)
Symmetry-distinct sites (fractional):
Rb  0.0000  0.5000  0.0000 (multiplicity 2)
Sn  0.0000  0.0000  0.5000 (multiplicity 1)
Pb  0.0000  0.0000  0.0000 (multiplicity 1)
Pb  0.2897  0.2897  0.5000 (multiplicity 4)

***

Diffraction record for RbSn4Pb6. The powder diffractogram is simulated, not measured: it uses a structure optimized by DFT (PBE) and Cu Ka.
Peak positions follow from Bragg's law for the DFT cell and can differ from measured ones.

Top 10 peaks for 2θ = 5–70°, low angle first:
- 2θ = 10.51°, rel. 22.6
- 2θ = 28.04°, rel. 33.6
- 2θ = 29.02°, rel. 100.0
- 2θ = 31.89°, rel. 30.6
- 2θ = 34.50°, rel. 76.4
- 2θ = 36.99°, rel. 34.8
- 2θ = 39.99°, rel. 25.0
- 2θ = 49.56°, rel. 17.5
- 2θ = 55.60°, rel. 21.9
- 2θ = 58.51°, rel. 27.7

Crystal structure
Unit cell a=9.7214 b=9.7214 c=4.5095 alpha=90.00 beta=90.00 gamma=120.00
Space group P-6m2 (No. 187)
Symmetry-distinct sites (fractional):
Rb  0.0000  0.0000  0.0000 (multiplicity 1)
Sn  0.1877  0.3755  0.5000 (multiplicity 3)
Sn  0.6667  0.3333  0.0000 (multiplicity 1)
Pb  0.0816  0.5408  0.0000 (multiplicity 3)
Pb  0.3923  0.1961  0.5000 (multiplicity 3)

***

Diffraction record for RbSn4Pb8. The powder diffractogram is simulated, not measured: it uses a structure optimized by DFT (PBE) and Cu Ka.
Peak positions follow from Bragg's law for the DFT cell and can differ from measured ones.

Top 10 peaks for 2θ = 5–70°, low angle first:
- 2θ = 26.92°, rel. 25.4
- 2θ = 27.84°, rel. 37.2
- 2θ = 31.02°, rel. 100.0
- 2θ = 31.25°, rel. 67.4
- 2θ = 31.40°, rel. 33.4
- 2θ = 31.82°, rel. 28.0
- 2θ = 32.08°, rel. 28.0
- 2θ = 34.79°, rel. 70.7
- 2θ = 35.11°, rel. 41.4
- 2θ = 35.63°, rel. 49.2

Crystal structure
Unit cell a=6.4095 b=16.3113 c=8.7284 alpha=90.00 beta=110.77 gamma=90.00
Space group C2/m (No. 12)
Symmetry-distinct sites (fractional):
Rb  0.0000  0.0000  0.0000 (multiplicity 2)
Sn  0.0000  0.0000  0.5000 (multiplicity 2)
Sn  0.0000  0.5000  0.5000 (multiplicity 2)
Sn  0.2500  0.2500  0.0000 (multiplicity 4)
Pb  0.1104  0.3906  0.2188 (multiplicity 8)
Pb  0.1760  0.1765  0.3530 (multiplicity 8)

***

Diffraction record for Rb2Sn3Pb9. The powder diffractogram is simulated, not measured: it uses a structure optimized by DFT (PBE) and Cu Ka.
Peak positions follow from Bragg's law for the DFT cell and can differ from measured ones.

Top 10 peaks for 2θ = 5–70°, low angle first:
- 2θ = 13.88°, rel. 24.9
- 2θ = 28.32°, rel. 42.0
- 2θ = 29.32°, rel. 81.3
- 2θ = 29.53°, rel. 73.2
- 2θ = 30.36°, rel. 30.9
- 2θ = 30.71°, rel. 47.9
- 2θ = 32.66°, rel. 100.0
- 2θ = 33.58°, rel. 24.4
- 2θ = 34.57°, rel. 50.3
- 2θ = 35.76°, rel. 41.7

Crystal structure
Unit cell a=17.4812 b=9.3227 c=13.4986 alpha=90.00 beta=117.90 gamma=90.00
Space group C2/c (No. 15)
Symmetry-distinct sites (fractional):
Rb  0.1796  0.0769  0.2356 (multiplicity 8)
Sn  0.0877  0.2285  0.5117 (multiplicity 8)
Sn  0.2500  0.2500  0.0000 (multiplicity 4)
Pb  0.0000  0.3310  0.2500 (multiplicity 4)
Pb  0.0551  0.0858  0.8921 (multiplicity 8)
Pb  0.0927  0.4083  0.0321 (multiplicity 8)
Pb  0.0937  0.3523  0.7427 (multiplicity 8)
Pb  0.2182  0.4055  0.4357 (multiplicity 8)

***

Diffraction record for Rb3SnPb4. The powder diffractogram is simulated, not measured: it uses a structure optimized by DFT (PBE) and Cu Ka.
Peak positions follow from Bragg's law for the DFT cell and can differ from measured ones.

Top 10 peaks for 2θ = 5–70°, low angle first:
- 2θ = 12.72°, rel. 95.6
- 2θ = 13.92°, rel. 100.0
- 2θ = 27.87°, rel. 54.1
- 2θ = 27.99°, rel. 41.3
- 2θ = 28.55°, rel. 35.6
- 2θ = 28.72°, rel. 39.8
- 2θ = 30.75°, rel. 87.9
- 2θ = 31.21°, rel. 83.3
- 2θ = 34.03°, rel. 38.3
- 2θ = 35.54°, rel. 43.1

Crystal structure
Unit cell a=7.1657 b=13.9215 c=7.1227 alpha=90.00 beta=90.00 gamma=90.00
Space group Pmmn (No. 59, origin choice 2)
Symmetry-distinct sites (fractional):
Rb  0.2500  0.0026  0.1780 (multiplicity 4)
Rb  0.2500  0.2500  0.5437 (multiplicity 2)
Sn  0.2500  0.7500  0.3121 (multiplicity 2)
Pb  0.0131  0.2500  0.0375 (multiplicity 4)
Pb  0.2500  0.6309  0.6824 (multiplicity 4)

***

Diffraction record for RbSn4Pb4. The powder diffractogram is simulated, not measured: it uses a structure optimized by DFT (PBE) and Cu Ka.
Peak positions follow from Bragg's law for the DFT cell and can differ from measured ones.

Top 10 peaks for 2θ = 5–70°, low angle first:
- 2θ = 14.34°, rel. 41.8
- 2θ = 19.22°, rel. 18.3
- 2θ = 28.71°, rel. 72.2
- 2θ = 32.24°, rel. 40.0
- 2θ = 33.45°, rel. 100.0
- 2θ = 35.27°, rel. 44.9
- 2θ = 41.06°, rel. 17.5
- 2θ = 50.74°, rel. 19.1
- 2θ = 55.22°, rel. 26.8
- 2θ = 62.15°, rel. 27.2

Crystal structure
Unit cell a=7.1968 b=7.1968 c=12.0399 alpha=90.00 beta=90.00 gamma=90.00
Space group P4_2/nmc (No. 137, origin choice 2)
Symmetry-distinct sites (fractional):
Rb  0.2500  0.7500  0.2500 (multiplicity 2)
Sn  0.0379  0.2500  0.0436 (multiplicity 8)
Pb  0.0221  0.2500  0.3329 (multiplicity 8)

***

Diffraction record for RbSn3Pb3. The powder diffractogram is simulated, not measured: it uses a structure optimized by DFT (PBE) and Cu Ka.
Peak positions follow from Bragg's law for the DFT cell and can differ from measured ones.

Top 10 peaks for 2θ = 5–70°, low angle first:
- 2θ = 14.81°, rel. 58.7
- 2θ = 21.01°, rel. 40.9
- 2θ = 23.52°, rel. 19.7
- 2θ = 25.80°, rel. 100.0
- 2θ = 36.82°, rel. 62.6
- 2θ = 39.89°, rel. 64.3
- 2θ = 42.77°, rel. 44.3
- 2θ = 59.91°, rel. 19.8
- 2θ = 62.08°, rel. 30.1
- 2θ = 68.38°, rel. 20.3

Crystal structure
Unit cell a=8.4571 b=8.4571 c=8.4571 alpha=90.00 beta=90.00 gamma=90.00
Space group Pm-3n (No. 223)
Symmetry-distinct sites (fractional):
Rb  0.0000  0.0000  0.0000 (multiplicity 2)
Sn  0.0000  0.2500  0.5000 (multiplicity 6)
Pb  0.0000  0.5000  0.2500 (multiplicity 6)

***

Diffraction record for Rb2SnPb. The powder diffractogram is simulated, not measured: it uses a structure optimized by DFT (PBE) and Cu Ka.
Peak positions follow from Bragg's law for the DFT cell and can differ from measured ones.

Top 10 peaks for 2θ = 5–70°, low angle first:
- 2θ = 14.38°, rel. 65.9
- 2θ = 16.00°, rel. 33.6
- 2θ = 24.03°, rel. 21.6
- 2θ = 26.98°, rel. 78.1
- 2θ = 27.57°, rel. 100.0
- 2θ = 31.73°, rel. 97.2
- 2θ = 38.05°, rel. 24.5
- 2θ = 44.51°, rel. 35.8
- 2θ = 47.27°, rel. 34.2
- 2θ = 51.83°, rel. 36.4

Crystal structure
Unit cell a=4.7295 b=11.0776 c=7.4072 alpha=90.00 beta=90.00 gamma=90.00
Space group Imm2 (No. 44)
Symmetry-distinct sites (fractional):
Rb  0.0000  0.1853  0.0000 (multiplicity 4)
Sn  0.0000  0.5000  0.2125 (multiplicity 2)
Pb  0.0000  0.0000  0.4723 (multiplicity 2)

***

What did the ninth record say?
Diffraction record for Rb3SnPb4. The powder diffractogram is simulated, not measured: it uses a structure optimized by DFT (PBE) and Cu Ka.
Peak positions follow from Bragg's law for the DFT cell and can differ from measured ones.

Top 10 peaks for 2θ = 5–70°, low angle first:
- 2θ = 12.72°, rel. 95.6
- 2θ = 13.92°, rel. 100.0
- 2θ = 27.87°, rel. 54.1
- 2θ = 27.99°, rel. 41.3
- 2θ = 28.55°, rel. 35.6
- 2θ = 28.72°, rel. 39.8
- 2θ = 30.75°, rel. 87.9
- 2θ = 31.21°, rel. 83.3
- 2θ = 34.03°, rel. 38.3
- 2θ = 35.54°, rel. 43.1

Crystal structure
Unit cell a=7.1657 b=13.9215 c=7.1227 alpha=90.00 beta=90.00 gamma=90.00
Space group Pmmn (No. 59, origin choice 2)
Symmetry-distinct sites (fractional):
Rb  0.2500  0.0026  0.1780 (multiplicity 4)
Rb  0.2500  0.2500  0.5437 (multiplicity 2)
Sn  0.2500  0.7500  0.3121 (multiplicity 2)
Pb  0.0131  0.2500  0.0375 (multiplicity 4)
Pb  0.2500  0.6309  0.6824 (multiplicity 4)